Diffraction record for Li2CoPHO5. The XRD peak list is calculated, not measured: it uses a PBE+U-relaxed structure and Cu Kα X-rays.
Kinematic intensities with the Lorentz-polarization factor, no thermal factor.

Top 10 peaks for 2θ from 10° to 80°, sorted by position:
| h k l | Position (°2θ) | I (rel.) |
| --- | --- | --- |
| 0 1 0 | 17.4 | 27 |
| 1 0 -1 | 17.9 | 19 |
| 1 0 0 | 18.1 | 19 |
| 1 -1 0 | 22.3 | 14 |
| 0 1 -2 | 26.1 | 100 |
| 1 1 0 | 27.8 | 55 |
| -1 1 2 | 34.8 | 14 |
| 1 -2 0 | 36.0 | 28 |
| 2 0 -3 | 43.3 | 14 |
| 1 -3 2 | 53.6 | 14 |

Crystal structure
```
data_Li2CoPHO5
_chemical_formula_sum 'Li4 Co2 P2 H2 O10'
_cell_length_a 5.3322
_cell_length_b 5.5172
_cell_length_c 7.5654
_cell_angle_alpha 108.54
_cell_angle_beta 109.56
_cell_angle_gamma 94.95
_space_group_name_H-M_alt 'P 1'
_space_group_IT_number 1
loop_
_space_group_symop_operation_xyz
'x,y,z'
loop_
_atom_site_label
_atom_site_type_symbol
_atom_site_fract_x
_atom_site_fract_y
_atom_site_fract_z
Li1 Li 0.0148 0.1423 0.3415
Li2 Li 0.2679 0.3902 0.1918
Li3 Li 0.7321 0.6098 0.8082
Li4 Li 0.9852 0.8577 0.6585
Co1 Co 0.5000 0.0000 0.0000
Co2 Co 0.5000 0.0000 0.5000
P1 P 0.1691 0.3713 0.7409
P2 P 0.8309 0.6287 0.2591
H1 H 0.1811 0.9089 0.1367
H2 H 0.8189 0.0911 0.8633
O1 O 0.1126 0.7761 0.4307
O2 O 0.1525 0.6628 0.8351
O3 O 0.2237 0.2385 0.9005
O4 O 0.3343 0.0585 0.2247
O5 O 0.3880 0.3500 0.6476
O6 O 0.6120 0.6500 0.3524
O7 O 0.6657 0.9415 0.7753
O8 O 0.7763 0.7615 0.0995
O9 O 0.8475 0.3372 0.1649
O10 O 0.8874 0.2239 0.5693
```